This entry pairs a crystal structure of Ac2Tb3Pt2 with its simulated powder diffraction line list. Radiation: CuKα. Structure: a cell relaxed with PBE.
No peak broadening, texture or thermal motion is included.

Structural model:
Lattice parameters (Å, degrees): 6.6992 6.6992 9.3935 115.89 115.89 34.02
Element x y z (fractional)
1 Ac 0.1597 0.1597 0.3047
2 Ac 0.8403 0.8403 0.6953
3 Tb 0.3801 0.3801 0.0676
4 Tb 0.5000 0.5000 0.5000
5 Tb 0.6199 0.6199 0.9324
6 Pt 0.1626 0.1626 0.7431
7 Pt 0.8374 0.8374 0.2569

The 10 most intense peaks (2θ from 10° to 90°), low angle first:
2θ (°)	I (rel.)
29.7	53
31.0	35
31.4	19
31.8	37
32.8	100
34.7	28
37.4	23
46.3	25
47.8	20
55.5	22



This entry pairs a crystal structure of AcTbTlPt with its simulated powder diffraction line list. Radiation: CuKα. Structure: a cell relaxed with PBE.
No peak broadening, texture or thermal motion is included.

Structural model:
Lattice parameters (Å, degrees): 5.4021 5.4021 5.4021 60.00 60.00 60.00
Element x y z (fractional)
1 Ac 0.0000 0.0000 0.0000
2 Tb 0.5000 0.5000 0.5000
3 Tl 0.2500 0.2500 0.2500
4 Pt 0.7500 0.7500 0.7500

The 8 most intense peaks (2θ from 10° to 90°), low angle first:
2θ (°)	I (rel.)
20.1	1
33.2	100
39.1	1
47.6	19
59.3	39
69.6	12
79.3	17
88.7	4



This entry pairs a crystal structure of Ac4TePt3 with its simulated powder diffraction line list. Radiation: CuKα. Structure: a cell relaxed with PBE.
No peak broadening, texture or thermal motion is included.

Structural model:
Lattice parameters (Å, degrees): 4.4495 4.4495 30.2595 90.00 90.00 120.00
Element x y z (fractional)
1 Ac 0.0000 0.0000 0.1727
2 Ac 0.0000 0.0000 0.3273
3 Ac 0.0000 0.0000 0.6727
4 Ac 0.0000 0.0000 0.8273
5 Ac 0.3333 0.6667 0.0577
6 Ac 0.3333 0.6667 0.4423
7 Ac 0.6667 0.3333 0.5577
8 Ac 0.6667 0.3333 0.9423
9 Te 0.3333 0.6667 0.2500
10 Te 0.6667 0.3333 0.7500
11 Pt 0.0000 0.0000 0.0000
12 Pt 0.0000 0.0000 0.5000
13 Pt 0.3333 0.6667 0.6180
14 Pt 0.3333 0.6667 0.8820
15 Pt 0.6667 0.3333 0.1180
16 Pt 0.6667 0.3333 0.3820

The 10 most intense peaks (2θ from 10° to 90°), low angle first:
2θ (°)	I (rel.)
27.4	68
29.2	100
31.1	19
40.3	29
40.5	71
42.9	29
50.7	22
64.7	16
66.9	20
70.2	15



This entry pairs a crystal structure of Ac5Te4Pt with its simulated powder diffraction line list. Radiation: CuKα. Structure: a cell relaxed with PBE.
No peak broadening, texture or thermal motion is included.

Structural model:
Lattice parameters (Å, degrees): 16.8836 16.8836 16.8836 164.04 164.04 22.64
Element x y z (fractional)
1 Ac 0.0000 0.0000 0.0000
2 Ac 0.2053 0.2053 0.0000
3 Ac 0.4109 0.4109 0.0000
4 Ac 0.5891 0.5891 0.0000
5 Ac 0.7947 0.7947 0.0000
6 Te 0.1037 0.1037 0.0000
7 Te 0.3076 0.3076 0.0000
8 Te 0.6924 0.6924 0.0000
9 Te 0.8963 0.8963 0.0000
10 Pt 0.5000 0.5000 0.0000

The 10 most intense peaks (2θ from 10° to 90°), low angle first:
2θ (°)	I (rel.)
23.3	9
26.9	100
38.4	74
47.5	25
55.5	12
62.7	25
62.7	6
69.5	21
82.3	6
88.5	12



This entry pairs a crystal structure of Ac3Te2Pt with its simulated powder diffraction line list. Radiation: CuKα. Structure: a cell relaxed with PBE.
No peak broadening, texture or thermal motion is included.

Structural model:
Lattice parameters (Å, degrees): 10.3860 10.3860 10.3860 154.06 154.06 37.02
Element x y z (fractional)
1 Ac 0.0000 0.0000 0.0000
2 Ac 0.3490 0.3490 0.0000
3 Ac 0.6510 0.6510 0.0000
4 Te 0.1758 0.1758 0.0000
5 Te 0.8242 0.8242 0.0000
6 Pt 0.5000 0.5000 0.0000

The 10 most intense peaks (2θ from 10° to 90°), low angle first:
2θ (°)	I (rel.)
23.4	9
27.0	95
27.2	40
38.7	100
47.9	35
55.8	13
63.1	33
63.3	9
69.9	23
89.1	10



This entry pairs a crystal structure of Ac3ThPt4 with its simulated powder diffraction line list. Radiation: CuKα. Structure: a cell relaxed with PBE.
No peak broadening, texture or thermal motion is included.

Structural model:
Lattice parameters (Å, degrees): 7.5292 7.5292 4.3273 90.00 90.00 109.32
Element x y z (fractional)
1 Ac 0.0000 0.0000 0.0000
2 Ac 0.0000 0.5000 0.5000
3 Ac 0.5000 0.0000 0.5000
4 Th 0.5000 0.5000 0.0000
5 Pt 0.2587 0.7413 0.0000
6 Pt 0.2657 0.2657 0.5000
7 Pt 0.7343 0.7343 0.5000
8 Pt 0.7413 0.2587 0.0000

The 10 most intense peaks (2θ from 10° to 90°), low angle first:
2θ (°)	I (rel.)
29.1	100
41.5	13
41.6	51
41.7	13
51.4	14
51.7	14
60.3	13
68.3	24
75.8	13
76.1	9



This entry pairs a crystal structure of AcTh3Pt4 with its simulated powder diffraction line list. Radiation: CuKα. Structure: a cell relaxed with PBE.
No peak broadening, texture or thermal motion is included.

Structural model:
Lattice parameters (Å, degrees): 7.3323 8.5848 7.3049 90.00 109.75 90.00
Element x y z (fractional)
1 Ac 0.0000 0.1255 0.2500
2 Ac 0.0000 0.8745 0.7500
3 Th 0.0000 0.3769 0.7500
4 Th 0.0000 0.6231 0.2500
5 Th 0.5000 0.1273 0.7500
6 Th 0.5000 0.3774 0.2500
7 Th 0.5000 0.6226 0.7500
8 Th 0.5000 0.8727 0.2500
9 Pt 0.2540 0.3818 0.5068
10 Pt 0.2540 0.6182 0.0068
11 Pt 0.2648 0.1326 0.9987
12 Pt 0.2648 0.8674 0.4987
13 Pt 0.7352 0.1326 0.5013
14 Pt 0.7352 0.8674 0.0013
15 Pt 0.7460 0.3818 0.9932
16 Pt 0.7460 0.6182 0.4932

The 10 most intense peaks (2θ from 10° to 90°), low angle first:
2θ (°)	I (rel.)
29.7	100
29.9	49
42.1	20
42.6	38
42.7	38
43.0	19
52.5	21
61.7	13
70.2	17
77.3	13



This entry pairs a crystal structure of Ac3ThPt3 with its simulated powder diffraction line list. Radiation: CuKα. Structure: a cell relaxed with PBE.
No peak broadening, texture or thermal motion is included.

Structural model:
Lattice parameters (Å, degrees): 8.5907 4.3331 12.2190 90.00 91.31 90.00
Element x y z (fractional)
1 Ac 0.1126 0.2500 0.1271
2 Ac 0.3703 0.7500 0.3798
3 Ac 0.3755 0.7500 0.8732
4 Ac 0.6245 0.2500 0.1268
5 Ac 0.6297 0.2500 0.6202
6 Ac 0.8874 0.7500 0.8729
7 Th 0.1275 0.2500 0.6271
8 Th 0.8725 0.7500 0.3729
9 Pt 0.1090 0.2500 0.3817
10 Pt 0.1335 0.2500 0.8726
11 Pt 0.3664 0.7500 0.6284
12 Pt 0.6336 0.2500 0.3716
13 Pt 0.8665 0.7500 0.1274
14 Pt 0.8910 0.7500 0.6183

The 10 most intense peaks (2θ from 10° to 90°), low angle first:
2θ (°)	I (rel.)
29.3	100
41.5	26
41.7	13
42.1	12
42.2	25
51.7	14
60.7	13
68.3	12
69.3	12
76.0	8



What is the formula in the fourth record?
Ac5Te4Pt



What is the formula in the fifth record?
Ac3Te2Pt